This entry pairs a crystal structure of Ac2Pr3In4 with its calculated X-ray powder pattern. Radiation: copper Kα. Structure: DFT lattice parameters and positions (GGA-PBE).

Cell and atoms:
```
Ac2Pr3In4
1.0
3.716 -8.733 0.000
3.716 8.733 0.000
0.000 0.000 9.513
Ac Pr In
4 6 8
Direct
0.110 0.890 0.925
0.390 0.610 0.425
0.610 0.390 0.575
0.890 0.110 0.075
0.000 0.000 0.500
0.029 0.471 0.750
0.471 0.029 0.250
0.500 0.500 0.000
0.529 0.971 0.750
0.971 0.529 0.250
0.183 0.817 0.536
0.212 0.288 0.750
0.288 0.212 0.250
0.317 0.683 0.036
0.683 0.317 0.964
0.712 0.788 0.750
0.788 0.712 0.250
0.817 0.183 0.464
```

Main lines, low angle first (10° ≤ 2θ ≤ 90°):
27.0 deg, rel. 25
27.7 deg, rel. 61
29.8 deg, rel. 85
30.0 deg, rel. 46
30.5 deg, rel. 100
31.6 deg, rel. 29
32.2 deg, rel. 26
45.9 deg, rel. 26
49.0 deg, rel. 45
58.5 deg, rel. 14


This entry pairs a crystal structure of Pr6ErCd5 with its calculated X-ray powder pattern. Radiation: copper Kα. Structure: DFT lattice parameters and positions (GGA-PBE).

Cell and atoms:
```
Pr6ErCd5
1.0
-2.748 3.915 8.312
2.748 -3.915 8.312
2.748 3.915 -8.312
Pr Er Cd
6 1 5
Direct
0.074 0.329 0.744
0.235 0.000 0.235
0.415 0.671 0.744
0.585 0.329 0.256
0.765 0.000 0.765
0.926 0.671 0.256
0.500 0.500 0.000
0.000 0.500 0.500
0.168 0.168 0.000
0.344 0.844 0.500
0.656 0.156 0.500
0.832 0.832 0.000
```

Main lines, low angle first (10° ≤ 2θ ≤ 90°):
32.4 deg, rel. 100
32.6 deg, rel. 20
46.4 deg, rel. 7
46.5 deg, rel. 14
57.7 deg, rel. 21
57.8 deg, rel. 7
58.0 deg, rel. 15
67.8 deg, rel. 9
77.1 deg, rel. 9
77.3 deg, rel. 6


This entry pairs a crystal structure of PmTh3Ge4 with its calculated X-ray powder pattern. Radiation: copper Kα. Structure: DFT lattice parameters and positions (GGA-PBE).

Cell and atoms:
```
PmTh3Ge4
1.0
7.445 0.000 0.000
0.000 8.549 0.000
-2.467 0.000 7.028
Pm Th Ge
2 6 8
Direct
0.000 0.125 0.250
0.000 0.875 0.750
0.000 0.374 0.750
0.000 0.626 0.250
0.500 0.125 0.750
0.500 0.374 0.250
0.500 0.626 0.750
0.500 0.875 0.250
0.250 0.125 0.000
0.250 0.376 0.500
0.250 0.624 0.000
0.250 0.875 0.500
0.750 0.125 0.500
0.750 0.376 0.000
0.750 0.624 0.500
0.750 0.875 0.000
```

Main lines, low angle first (10° ≤ 2θ ≤ 90°):
25.4 deg, rel. 20
25.5 deg, rel. 20
29.4 deg, rel. 100
42.0 deg, rel. 13
42.1 deg, rel. 51
49.8 deg, rel. 14
52.1 deg, rel. 14
52.3 deg, rel. 14
69.2 deg, rel. 24
76.8 deg, rel. 13